1.
Structure and computed X-ray diffraction stick pattern of Na4B5C3 (the PBE geometry in Alexandria; copper Kα).

Structure:
abc: 8.9949 8.9949 5.7799
angles: 99.25 99.25 31.76
Fractional positions:
Na  0.1236  0.1236  0.0614
Na  0.1252  0.1225  0.5618
Na  0.3774  0.3748  0.6878
Na  0.3765  0.3765  0.1878
Na  0.6235  0.6235  0.8122
Na  0.6252  0.6226  0.3122
Na  0.8764  0.8764  0.9386
Na  0.8775  0.8748  0.4382
B  0.0710  0.4288  0.8769
B  0.3342  0.6658  0.0000
B  0.3341  0.6659  0.5000
B  0.4149  0.0852  0.3838
B  0.4405  0.0595  0.8601
B  0.5712  0.9290  0.1231
B  0.8344  0.1661  0.2500
B  0.8339  0.1656  0.7500
B  0.9148  0.5851  0.6162
B  0.9405  0.5595  0.1399
C  0.0782  0.4219  0.3813
C  0.1683  0.8309  0.7499
C  0.1691  0.8317  0.2501
C  0.5781  0.9218  0.6187
C  0.6687  0.3313  0.0000
C  0.6688  0.3312  0.5000

Peak list (12 most intense, 15 to 90 degrees two-theta, sorted by position)
| 2theta | intensity |
| --- | --- |
| 36.0 | 20 |
| 36.5 | 8 |
| 42.0 | 100 |
| 42.4 | 92 |
| 56.8 | 11 |
| 64.5 | 9 |
| 65.4 | 17 |
| 77.3 | 12 |
| 77.5 | 8 |
| 80.3 | 16 |
| 81.1 | 17 |
| 81.4 | 5 |

---

2.
Structure and computed X-ray diffraction stick pattern of Ce2Sb4Au (the PBE geometry in Alexandria; copper Kα).

Structure:
abc: 4.4383 4.4383 9.7391
angles: 90.00 90.00 90.00
Fractional positions:
Ce  0.0000  0.5000  0.2433
Ce  0.5000  0.0000  0.7567
Sb  0.0000  0.0000  0.5000
Sb  0.0000  0.5000  0.8296
Sb  0.5000  0.0000  0.1704
Sb  0.5000  0.5000  0.5000
Au  0.5000  0.5000  0.0000

Peak list (12 most intense, 15 to 90 degrees two-theta, sorted by position)
| 2theta | intensity |
| --- | --- |
| 20.0 | 10 |
| 22.0 | 18 |
| 27.2 | 18 |
| 34.0 | 100 |
| 34.2 | 15 |
| 36.9 | 10 |
| 40.7 | 39 |
| 51.2 | 11 |
| 56.1 | 12 |
| 58.9 | 13 |
| 67.4 | 10 |
| 69.7 | 25 |

---

3.
Structure and computed X-ray diffraction stick pattern of Ta5TiAl2 (the PBE geometry in Alexandria; copper Kα).

Structure:
abc: 7.2586 7.2586 7.2586
angles: 157.40 98.38 86.05
Fractional positions:
Ta  0.0000  0.0000  0.0000
Ta  0.1097  0.3724  0.7373
Ta  0.3650  0.6276  0.7373
Ta  0.6350  0.3724  0.2627
Ta  0.8903  0.6276  0.2627
Ti  0.5000  0.0000  0.5000
Al  0.2598  0.2598  0.0000
Al  0.7402  0.7402  0.0000

Peak list (12 most intense, 15 to 90 degrees two-theta, sorted by position)
| 2theta | intensity |
| --- | --- |
| 18.7 | 50 |
| 37.8 | 100 |
| 37.9 | 45 |
| 38.9 | 88 |
| 40.7 | 47 |
| 53.9 | 16 |
| 56.8 | 33 |
| 67.8 | 15 |
| 68.5 | 15 |
| 69.2 | 22 |
| 73.5 | 20 |
| 79.0 | 23 |

---

4.
Structure and computed X-ray diffraction stick pattern of Li2Br2O7 (the PBE geometry in Alexandria; copper Kα).

Structure:
abc: 5.9784 5.9893 9.7671
angles: 75.51 73.77 85.11
Fractional positions:
Li  0.0918  0.2542  0.0198
Li  0.2202  0.0821  0.5325
Li  0.7798  0.9179  0.4675
Li  0.9082  0.7458  0.9802
Br  0.0119  0.4739  0.3042
Br  0.4762  0.9649  0.8059
Br  0.5238  0.0351  0.1941
Br  0.9881  0.5261  0.6958
O  0.0065  0.8063  0.6026
O  0.0678  0.5242  0.8500
O  0.2008  0.9864  0.9038
O  0.2019  0.3852  0.5988
O  0.3887  0.7971  0.2189
O  0.3962  0.2570  0.1055
O  0.4714  0.9165  0.6465
O  0.5286  0.0835  0.3535
O  0.6038  0.7430  0.8945
O  0.6113  0.2029  0.7811
O  0.7981  0.6148  0.4012
O  0.7992  0.0136  0.0962
O  0.9322  0.4758  0.1500
O  0.9935  0.1937  0.3974

Peak list (12 most intense, 15 to 90 degrees two-theta, sorted by position)
| 2theta | intensity |
| --- | --- |
| 19.5 | 49 |
| 20.0 | 24 |
| 20.4 | 18 |
| 21.6 | 100 |
| 22.0 | 77 |
| 23.4 | 58 |
| 29.2 | 28 |
| 29.4 | 33 |
| 29.8 | 57 |
| 30.8 | 23 |
| 31.2 | 33 |
| 32.4 | 16 |

---

5.
Structure and computed X-ray diffraction stick pattern of Pr4Y2Tm5 (the PBE geometry in Alexandria; copper Kα).

Structure:
abc: 18.4073 18.4073 18.4073
angles: 169.09 161.92 21.17
Fractional positions:
Pr  0.0895  0.0895  0.0000
Pr  0.1775  0.6775  0.5000
Pr  0.8225  0.3225  0.5000
Pr  0.9105  0.9105  0.0000
Y  0.2669  0.2669  0.0000
Y  0.7331  0.7331  0.0000
Tm  0.0000  0.5000  0.5000
Tm  0.3546  0.8546  0.5000
Tm  0.4558  0.9558  0.5000
Tm  0.5442  0.0442  0.5000
Tm  0.6454  0.1454  0.5000

Peak list (12 most intense, 15 to 90 degrees two-theta, sorted by position)
| 2theta | intensity |
| --- | --- |
| 28.3 | 31 |
| 29.8 | 22 |
| 30.9 | 58 |
| 31.3 | 100 |
| 33.4 | 82 |
| 42.4 | 21 |
| 50.2 | 18 |
| 55.2 | 20 |
| 56.6 | 18 |
| 60.1 | 21 |
| 62.0 | 16 |
| 62.2 | 28 |

---

6.
Structure and computed X-ray diffraction stick pattern of Tl2CrNi (the PBE geometry in Alexandria; copper Kα).

Structure:
abc: 5.4916 5.4916 5.4916
angles: 136.62 136.62 63.02
Fractional positions:
Tl  0.0000  0.0000  0.0000
Tl  0.7500  0.2500  0.5000
Cr  0.2500  0.7500  0.5000
Ni  0.5000  0.5000  0.0000

Peak list (12 most intense, 15 to 90 degrees two-theta, sorted by position)
| 2theta | intensity |
| --- | --- |
| 23.9 | 43 |
| 36.3 | 15 |
| 36.7 | 100 |
| 38.5 | 22 |
| 44.7 | 29 |
| 51.3 | 12 |
| 58.9 | 8 |
| 60.4 | 23 |
| 65.0 | 9 |
| 68.4 | 16 |
| 77.0 | 23 |
| 78.1 | 11 |

---

7.
Structure and computed X-ray diffraction stick pattern of La6InHg2 (the PBE geometry in Alexandria; copper Kα).

Structure:
abc: 10.4676 8.8638 6.8325
angles: 82.56 57.10 40.33
Fractional positions:
La  0.0202  0.3173  0.6827
La  0.3173  0.0202  0.9798
La  0.3439  0.6561  0.3439
La  0.6561  0.3439  0.6561
La  0.6827  0.9798  0.0202
La  0.9798  0.6827  0.3173
In  0.0000  0.0000  0.0000
Hg  0.3372  0.3372  0.6628
Hg  0.6628  0.6628  0.3372

Peak list (12 most intense, 15 to 90 degrees two-theta, sorted by position)
| 2theta | intensity |
| --- | --- |
| 31.2 | 100 |
| 31.9 | 25 |
| 32.0 | 25 |
| 42.9 | 6 |
| 43.6 | 8 |
| 45.8 | 18 |
| 55.0 | 9 |
| 55.0 | 9 |
| 56.5 | 37 |
| 65.1 | 10 |
| 75.5 | 8 |
| 89.9 | 7 |

---

8.
Structure and computed X-ray diffraction stick pattern of HgBiPb5 (the PBE geometry in Alexandria; copper Kα).

Structure:
abc: 6.8475 6.8475 11.9246
angles: 100.64 100.64 55.98
Fractional positions:
Hg  0.0000  0.0000  0.0000
Hg  0.0000  0.0000  0.5000
Bi  0.3176  0.6824  0.7500
Bi  0.6824  0.3176  0.2500
Pb  0.1723  0.3008  0.1842
Pb  0.1853  0.8147  0.2500
Pb  0.3008  0.1723  0.6842
Pb  0.3028  0.4232  0.4684
Pb  0.4232  0.3028  0.9684
Pb  0.5768  0.6972  0.0316
Pb  0.6972  0.5768  0.5316
Pb  0.6992  0.8277  0.3158
Pb  0.8147  0.1853  0.7500
Pb  0.8277  0.6992  0.8158

Peak list (12 most intense, 15 to 90 degrees two-theta, sorted by position)
| 2theta | intensity |
| --- | --- |
| 26.5 | 32 |
| 30.2 | 20 |
| 30.7 | 38 |
| 30.9 | 48 |
| 31.2 | 33 |
| 31.8 | 100 |
| 33.1 | 97 |
| 33.9 | 48 |
| 36.1 | 24 |
| 37.1 | 31 |
| 40.6 | 32 |
| 62.9 | 22 |

---

9.
Structure and computed X-ray diffraction stick pattern of PrSn12Ir4 (the PBE geometry in Alexandria; copper Kα).

Structure:
abc: 8.2113 8.2113 8.2113
angles: 109.47 109.47 109.47
Fractional positions:
Pr  0.0000  0.0000  0.0000
Sn  0.1604  0.3388  0.4992
Sn  0.1604  0.6612  0.8216
Sn  0.1784  0.8396  0.3388
Sn  0.3388  0.1784  0.8396
Sn  0.3388  0.4992  0.1604
Sn  0.4992  0.1604  0.3388
Sn  0.5008  0.8396  0.6612
Sn  0.6612  0.5008  0.8396
Sn  0.6612  0.8216  0.1604
Sn  0.8216  0.1604  0.6612
Sn  0.8396  0.3388  0.1784
Sn  0.8396  0.6612  0.5008
Ir  0.0000  0.0000  0.5000
Ir  0.0000  0.5000  0.0000
Ir  0.5000  0.0000  0.0000
Ir  0.5000  0.5000  0.5000

Peak list (12 most intense, 15 to 90 degrees two-theta, sorted by position)
| 2theta | intensity |
| --- | --- |
| 18.7 | 33 |
| 26.6 | 30 |
| 29.8 | 100 |
| 35.4 | 48 |
| 42.6 | 54 |
| 46.9 | 64 |
| 49.0 | 28 |
| 56.6 | 15 |
| 61.9 | 16 |
| 66.9 | 20 |
| 84.2 | 15 |
| 87.2 | 29 |

---

10.
Structure and computed X-ray diffraction stick pattern of Tb10Pm4Tm (the PBE geometry in Alexandria; copper Kα).

Structure:
abc: 8.9926 8.9926 8.9926
angles: 114.21 114.21 100.36
Fractional positions:
Tb  0.0431  0.9329  0.6543
Tb  0.0671  0.7214  0.1102
Tb  0.2500  0.7500  0.5000
Tb  0.2786  0.3888  0.3457
Tb  0.3888  0.0431  0.1102
Tb  0.6112  0.9569  0.8898
Tb  0.7214  0.6112  0.6543
Tb  0.7500  0.2500  0.5000
Tb  0.9329  0.2786  0.8898
Tb  0.9569  0.0671  0.3457
Pm  0.1758  0.5697  0.7454
Pm  0.4303  0.1758  0.6061
Pm  0.5697  0.8242  0.3939
Pm  0.8242  0.4303  0.2546
Tm  0.0000  0.0000  0.0000

Peak list (12 most intense, 15 to 90 degrees two-theta, sorted by position)
| 2theta | intensity |
| --- | --- |
| 24.9 | 17 |
| 28.5 | 13 |
| 28.9 | 60 |
| 31.0 | 100 |
| 32.9 | 42 |
| 34.0 | 21 |
| 36.2 | 21 |
| 40.8 | 15 |
| 41.3 | 20 |
| 44.4 | 16 |
| 52.6 | 14 |
| 56.4 | 21 |

---

11.
Structure and computed X-ray diffraction stick pattern of Cd3GaSn (the PBE geometry in Alexandria; copper Kα).

Structure:
abc: 3.4990 7.1853 9.6618
angles: 81.18 88.29 77.35
Fractional positions:
Cd  0.0356  0.4185  0.1515
Cd  0.1057  0.2364  0.4521
Cd  0.3383  0.7951  0.0511
Cd  0.6617  0.2049  0.9489
Cd  0.8943  0.7636  0.5479
Cd  0.9644  0.5815  0.8485
Ga  0.4617  0.6033  0.3465
Ga  0.5383  0.3967  0.6535
Sn  0.2816  0.9898  0.7428
Sn  0.7184  0.0102  0.2572

Peak list (12 most intense, 15 to 90 degrees two-theta, sorted by position)
| 2theta | intensity |
| --- | --- |
| 32.4 | 96 |
| 32.8 | 100 |
| 34.2 | 87 |
| 38.0 | 66 |
| 38.8 | 64 |
| 40.3 | 56 |
| 40.7 | 48 |
| 52.3 | 25 |
| 54.5 | 18 |
| 56.3 | 19 |
| 60.4 | 16 |
| 61.7 | 16 |

---

12.
Structure and computed X-ray diffraction stick pattern of ErBi2P2Pd7 (the PBE geometry in Alexandria; copper Kα).

Structure:
abc: 4.5503 4.5503 11.4400
angles: 92.41 92.41 98.47
Fractional positions:
Er  0.0000  0.0000  0.0000
Bi  0.1466  0.1466  0.3816
Bi  0.8534  0.8534  0.6185
P  0.3111  0.3111  0.8143
P  0.6889  0.6889  0.1857
Pd  0.1626  0.5713  0.2021
Pd  0.3651  0.3651  0.6091
Pd  0.4287  0.8374  0.7979
Pd  0.5000  0.5000  0.0000
Pd  0.5713  0.1626  0.2021
Pd  0.6349  0.6349  0.3909
Pd  0.8374  0.4287  0.7979

Peak list (12 most intense, 15 to 90 degrees two-theta, sorted by position)
| 2theta | intensity |
| --- | --- |
| 25.8 | 64 |
| 30.3 | 60 |
| 35.0 | 73 |
| 35.1 | 81 |
| 37.2 | 49 |
| 39.5 | 69 |
| 40.5 | 100 |
| 44.0 | 24 |
| 53.1 | 52 |
| 62.4 | 32 |
| 70.1 | 20 |
| 71.6 | 19 |